Structure and theoretical X-ray powder pattern of NbFeN2F (a cell relaxed with PBE+U; a wavelength of 1.5418 Å).
Intensities are scaled so that the largest is 1000.

Cell lengths 4.1016, 4.1016, 4.0149 Å; angles 90.00, 90.00, 90.00 degrees
Space group P4/mmm (No. 123)
Unique sites:
Nb (0.0000, 0.0000, 0.0000)
Fe (0.5000, 0.5000, 0.5000)
N (0.0000, 0.5000, 0.0000)
F (0.0000, 0.0000, 0.5000)

The 8 most intense peaks (2θ from 15° to 90°), most intense first:
d 2.869, I = 1000; d 2.900, I = 613; d 2.051, I = 402; d 1.668, I = 389; d 4.102, I = 227; d 1.651, I = 224; d 1.435, I = 224; d 2.007, I = 187